# TaP4S10Cl5
Computed X-ray powder pattern, copper Kα. Input: a DFT-relaxed cell (PBE, the Materials Project).

Most intense lines, 10 to 90 degrees two-theta, by angle:
2θ (°), intensity
10.50, 100
14.81, 69
15.20, 42
18.47, 65
19.10, 65
20.44, 55
21.29, 43
33.14, 44
47.44, 46
48.06, 47

Cell and atoms:
```
data_TaP4S10Cl5
_cell_length_a 10.1273
_cell_length_b 11.5032
_cell_length_c 12.1093
_cell_angle_alpha 70.87
_cell_angle_beta 67.93
_cell_angle_gamma 67.70
_symmetry_space_group_name_H-M 'P 1'
_symmetry_Int_Tables_number 1
loop_
_symmetry_equiv_pos_as_xyz
'x,y,z'
loop_
_atom_site_label
_atom_site_type_symbol
_atom_site_fract_x
_atom_site_fract_y
_atom_site_fract_z
Ta1 Ta 0.0428 0.1300 0.3416
Ta2 Ta 0.9572 0.8700 0.6584
P1 P 0.0206 0.3252 0.7625
P2 P 0.3006 0.0520 0.8377
P3 P 0.3059 0.3518 0.8385
P4 P 0.3802 0.2708 0.5650
P5 P 0.6198 0.7292 0.4350
P6 P 0.6941 0.6482 0.1615
P7 P 0.6994 0.9480 0.1623
P8 P 0.9794 0.6748 0.2375
S1 S 0.0710 0.1271 0.8485
S2 S 0.0758 0.4257 0.8501
S3 S 0.1502 0.3460 0.5770
S4 S 0.1876 0.6063 0.2269
S5 S 0.3455 0.8729 0.9166
S6 S 0.3530 0.4435 0.9188
S7 S 0.3542 0.1538 0.9246
S8 S 0.4282 0.0733 0.6519
S9 S 0.4341 0.3718 0.6527
S10 S 0.4947 0.2897 0.3962
S11 S 0.5053 0.7103 0.6038
S12 S 0.5659 0.6282 0.3473
S13 S 0.5718 0.9267 0.3481
S14 S 0.6458 0.8462 0.0754
S15 S 0.6470 0.5565 0.0812
S16 S 0.6545 0.1271 0.0834
S17 S 0.8124 0.3937 0.7731
S18 S 0.8498 0.6540 0.4230
S19 S 0.9242 0.5743 0.1499
S20 S 0.9290 0.8729 0.1515
Cl1 Cl 0.0732 0.7913 0.8076
Cl2 Cl 0.1275 0.7192 0.5450
Cl3 Cl 0.1332 0.0121 0.5334
Cl4 Cl 0.2035 0.9514 0.2617
Cl5 Cl 0.2186 0.2354 0.2654
Cl6 Cl 0.7814 0.7646 0.7346
Cl7 Cl 0.7965 0.0486 0.7383
Cl8 Cl 0.8668 0.9879 0.4666
Cl9 Cl 0.8725 0.2808 0.4550
Cl10 Cl 0.9268 0.2087 0.1924
```



# YMg6AlO8
Computed X-ray powder pattern, copper Kα. Input: a DFT-relaxed cell (PBE, the Materials Project).

Most intense lines, 10 to 90 degrees two-theta, by angle:
2θ (°), intensity
10.05, 23
19.76, 18
22.21, 22
28.38, 14
34.82, 35
40.14, 100
41.01, 45
58.06, 30
58.73, 55
73.52, 26

Cell and atoms:
```
data_YMg6AlO8
_cell_length_a 4.4934
_cell_length_b 4.4934
_cell_length_c 8.8030
_cell_angle_alpha 90.00
_cell_angle_beta 90.00
_cell_angle_gamma 90.00
_symmetry_space_group_name_H-M 'P 1'
_symmetry_Int_Tables_number 1
loop_
_symmetry_equiv_pos_as_xyz
'x,y,z'
loop_
_atom_site_label
_atom_site_type_symbol
_atom_site_fract_x
_atom_site_fract_y
_atom_site_fract_z
Y1 Y 0.0000 0.0000 0.0000
Mg1 Mg 0.0000 0.5000 0.2624
Mg2 Mg 0.0000 0.5000 0.7376
Mg3 Mg 0.5000 0.0000 0.2624
Mg4 Mg 0.5000 0.0000 0.7376
Mg5 Mg 0.5000 0.5000 0.0000
Mg6 Mg 0.5000 0.5000 0.5000
Al1 Al 0.0000 0.0000 0.5000
O1 O 0.0000 0.0000 0.2620
O2 O 0.0000 0.0000 0.7380
O3 O 0.0000 0.5000 0.0000
O4 O 0.0000 0.5000 0.5000
O5 O 0.5000 0.0000 0.0000
O6 O 0.5000 0.0000 0.5000
O7 O 0.5000 0.5000 0.2517
O8 O 0.5000 0.5000 0.7483
```



# Th3Cl
Computed X-ray powder pattern, copper Kα. Input: a DFT-relaxed cell (PBE, the Materials Project).

Most intense lines, 10 to 90 degrees two-theta, by angle:
2θ (°), intensity
20.45, 20
31.64, 100
35.00, 19
37.52, 32
52.25, 25
54.11, 11
60.69, 16
64.05, 27
66.09, 12
85.65, 13

Cell and atoms:
```
data_Th3Cl
_cell_length_a 6.1461
_cell_length_b 6.1461
_cell_length_c 6.1461
_cell_angle_alpha 134.09
_cell_angle_beta 134.09
_cell_angle_gamma 66.94
_symmetry_space_group_name_H-M 'P 1'
_symmetry_Int_Tables_number 1
loop_
_symmetry_equiv_pos_as_xyz
'x,y,z'
loop_
_atom_site_label
_atom_site_type_symbol
_atom_site_fract_x
_atom_site_fract_y
_atom_site_fract_z
Th1 Th 0.0000 0.0000 0.0000
Th2 Th 0.2500 0.7500 0.5000
Th3 Th 0.7500 0.2500 0.5000
Cl1 Cl 0.5000 0.5000 0.0000
```



# Mg5Si9
Computed X-ray powder pattern, copper Kα. Input: a DFT-relaxed cell (PBE, the Materials Project).

Most intense lines, 10 to 90 degrees two-theta, by angle:
2θ (°), intensity
32.75, 25
35.97, 43
36.97, 23
37.32, 24
37.69, 30
37.96, 100
38.26, 80
38.81, 31
41.03, 60
41.33, 20

Cell and atoms:
```
data_Mg5Si9
_cell_length_a 7.3205
_cell_length_b 7.4739
_cell_length_c 10.6236
_cell_angle_alpha 97.05
_cell_angle_beta 101.53
_cell_angle_gamma 116.76
_symmetry_space_group_name_H-M 'P 1'
_symmetry_Int_Tables_number 1
loop_
_symmetry_equiv_pos_as_xyz
'x,y,z'
loop_
_atom_site_label
_atom_site_type_symbol
_atom_site_fract_x
_atom_site_fract_y
_atom_site_fract_z
Mg1 Mg 0.0000 0.0000 0.0000
Mg2 Mg 0.0191 0.3661 0.8438
Mg3 Mg 0.1481 0.8174 0.2563
Mg4 Mg 0.2259 0.2592 0.3086
Mg5 Mg 0.4235 0.1011 0.5944
Mg6 Mg 0.4810 0.7498 0.4200
Mg7 Mg 0.5768 0.0997 0.9004
Mg8 Mg 0.6810 0.5451 0.2667
Mg9 Mg 0.6996 0.9327 0.1706
Mg10 Mg 0.7511 0.8726 0.7114
Si1 Si 0.0027 0.4595 0.3793
Si2 Si 0.0839 0.7667 0.7915
Si3 Si 0.2074 0.1312 0.7796
Si4 Si 0.2071 0.3706 0.5620
Si5 Si 0.2900 0.7854 0.0103
Si6 Si 0.2972 0.5406 0.1406
Si7 Si 0.3139 0.7221 0.6741
Si8 Si 0.4175 0.1234 0.1459
Si9 Si 0.4225 0.3744 0.9950
Si10 Si 0.5376 0.6941 0.8895
Si11 Si 0.6040 0.4873 0.5267
Si12 Si 0.6164 0.1996 0.3840
Si13 Si 0.7224 0.5059 0.7779
Si14 Si 0.8051 0.5685 0.0308
Si15 Si 0.8413 0.1440 0.5620
Si16 Si 0.9261 0.3270 0.1282
Si17 Si 0.9475 0.9638 0.4121
Si18 Si 0.9835 0.7221 0.5275
```



# Mg16Si8HO32
Computed X-ray powder pattern, copper Kα. Input: a DFT-relaxed cell (PBE, the Materials Project).

Most intense lines, 10 to 90 degrees two-theta, by angle:
2θ (°), intensity
27.33, 46
32.88, 52
33.70, 57
36.14, 100
40.35, 32
43.05, 39
44.14, 87
63.28, 58
63.44, 59
64.51, 32

Cell and atoms:
```
data_Mg16Si8HO32
_cell_length_a 5.7782
_cell_length_b 11.6575
_cell_length_c 8.4044
_cell_angle_alpha 90.00
_cell_angle_beta 90.18
_cell_angle_gamma 90.00
_symmetry_space_group_name_H-M 'P 1'
_symmetry_Int_Tables_number 1
loop_
_symmetry_equiv_pos_as_xyz
'x,y,z'
loop_
_atom_site_label
_atom_site_type_symbol
_atom_site_fract_x
_atom_site_fract_y
_atom_site_fract_z
Mg1 Mg 0.0000 0.0000 0.0000
Mg2 Mg 0.0020 0.2486 0.0317
Mg3 Mg 0.0020 0.7514 0.0317
Mg4 Mg 0.0086 0.5000 0.0544
Mg5 Mg 0.2505 0.1207 0.2822
Mg6 Mg 0.2505 0.8793 0.2822
Mg7 Mg 0.2507 0.3773 0.7835
Mg8 Mg 0.2507 0.6227 0.7835
Mg9 Mg 0.4937 0.5000 0.5080
Mg10 Mg 0.4984 0.2482 0.5337
Mg11 Mg 0.4984 0.7518 0.5337
Mg12 Mg 0.5003 0.0000 0.5656
Mg13 Mg 0.7495 0.3771 0.7839
Mg14 Mg 0.7495 0.6229 0.7839
Mg15 Mg 0.7496 0.1205 0.2821
Mg16 Mg 0.7496 0.8795 0.2821
Si1 Si 0.9999 0.1301 0.6494
Si2 Si 0.9999 0.8699 0.6494
Si3 Si 0.5002 0.1302 0.9161
Si4 Si 0.5002 0.8698 0.9161
Si5 Si 0.5045 0.3660 0.1483
Si6 Si 0.5045 0.6340 0.1483
Si7 Si 0.9960 0.3598 0.4221
Si8 Si 0.9960 0.6402 0.4221
H1 H 0.7835 0.5000 0.2898
O1 O 0.0001 0.0000 0.2454
O2 O 0.0004 0.0000 0.7477
O3 O 0.0012 0.2403 0.7758
O4 O 0.0012 0.5000 0.8152
O5 O 0.0012 0.7597 0.7758
O6 O 0.2374 0.1277 0.5399
O7 O 0.2372 0.3745 0.5222
O8 O 0.2372 0.6255 0.5222
O9 O 0.2374 0.8723 0.5399
O10 O 0.2626 0.1276 0.0254
O11 O 0.2626 0.8724 0.0254
O12 O 0.2637 0.3740 0.0432
O13 O 0.2637 0.6260 0.0432
O14 O 0.4990 0.2401 0.7893
O15 O 0.4992 0.5000 0.7503
O16 O 0.4990 0.7599 0.7893
O17 O 0.5000 0.0000 0.3199
O18 O 0.4997 0.0000 0.8178
O19 O 0.5017 0.2588 0.2777
O20 O 0.5017 0.7412 0.2777
O21 O 0.5244 0.5000 0.2508
O22 O 0.7390 0.1276 0.0247
O23 O 0.7390 0.8724 0.0247
O24 O 0.7434 0.3720 0.0399
O25 O 0.7434 0.6280 0.0399
O26 O 0.7571 0.3714 0.5274
O27 O 0.7571 0.6286 0.5274
O28 O 0.7614 0.1275 0.5405
O29 O 0.7614 0.8725 0.5405
O30 O 0.9639 0.5000 0.3143
O31 O 0.9987 0.2569 0.2880
O32 O 0.9987 0.7431 0.2880
```